Structure and theoretical X-ray powder pattern of LaPm2C (DFT lattice parameters and positions (GGA-PBE); Cu Kα).
Intensities are scaled so that the largest is 100.

The 10 most intense peaks (2θ = 10–80°), in order of rising 2θ:
(hkl)	2θ/deg	intensity
0 3 1	28.2	100
1 0 1	29.5	97
0 0 2	33.3	41
1 3 0	33.5	71
1 3 2	48.0	51
1 6 1	56.0	23
0 3 3	56.4	15
1 0 3	57.2	15
2 3 1	58.3	37
2 0 2	61.3	13

Structure:
Lattice parameters (Å, degrees): 3.6584 11.7364 5.3853 90.00 90.00 90.00
Space group P2_1/m (No. 11)
Symmetry-distinct sites (fractional):
1 La 0.2452 0.2500 0.2504 x2
2 Pm 0.2536 0.6020 0.2497 x4
3 C 0.2457 0.2500 0.7505 x2